NpSe2O6: theoretical X-ray powder pattern (CuKα), based on a GGA-PBE-relaxed structure.
Lines closer than 0.1° are merged.

Cell and atoms:
```
NpSe2O6
1.0
7.075 0.000 0.000
0.000 10.928 0.000
-5.009 0.000 7.073
Np Se O
4 8 24
direct
0.248 0.097 0.005
0.248 0.403 0.505
0.752 0.597 0.495
0.752 0.903 0.995
0.215 0.077 0.431
0.215 0.423 0.931
0.312 0.714 0.575
0.312 0.786 0.075
0.688 0.214 0.925
0.688 0.286 0.425
0.785 0.577 0.069
0.785 0.923 0.569
0.026 0.015 0.713
0.026 0.485 0.213
0.081 0.220 0.381
0.081 0.280 0.881
0.118 0.601 0.550
0.118 0.899 0.050
0.344 0.093 0.313
0.344 0.407 0.813
0.457 0.746 0.308
0.457 0.754 0.808
0.495 0.598 0.586
0.495 0.902 0.086
0.505 0.098 0.914
0.505 0.402 0.414
0.543 0.246 0.192
0.543 0.254 0.692
0.656 0.593 0.187
0.656 0.907 0.687
0.882 0.101 0.950
0.882 0.399 0.450
0.919 0.720 0.119
0.919 0.780 0.619
0.974 0.515 0.787
0.974 0.985 0.287
```

Most intense lines, 2θ from 10° to 90°, in order of rising 2θ:
hkl  2θ/deg  I (rel.)
0 1 1  14.9  87
1 1 0  17.4  26
0 0 2  25.2  53
2 0 -2  26.2  83
1 3 0  29.0  100
2 0 0  31.0  31
1 3 -2  32.1  49
3 3 -2  45.9  37